Simulated powder diffraction line list
Compound: TlAgI2Br6
Radiation: Cu Kα
Structure: a structure optimized by DFT (PBE)

Top 8 peaks for 2θ from 10° to 80°, sorted by position:
2θ 10.70, rel. 37, (0 0 1); 2θ 16.37, rel. 49, (1 0 0); 2θ 19.09, rel. 55, (0 1 1); 2θ 21.70, rel. 48, (1 1 -1); 2θ 22.89, rel. 91, (1 0 1); 2θ 25.73, rel. 100, (1 -2 1); 2θ 31.20, rel. 38, (1 -2 2); 2θ 34.53, rel. 75, (-1 1 3)

```
data_TlAgI2Br6
_chemical_formula_sum 'Tl1 Ag1 I2 Br6'
_cell_length_a 6.142
_cell_length_b 7.832
_cell_length_c 9.215
_cell_angle_alpha 102.85
_cell_angle_beta 107.57
_cell_angle_gamma 106.67
_symmetry_space_group_name_H-M 'P 1'
_symmetry_Int_Tables_number 1
loop_
_symmetry_equiv_pos_as_xyz
'x,y,z'
loop_
_atom_site_label
_atom_site_type_symbol
_atom_site_fract_x
_atom_site_fract_y
_atom_site_fract_z
Tl1 Tl 0.000 0.000 0.000
Ag1 Ag 0.001 0.501 0.501
I1 I 0.311 0.764 0.181
I2 I 0.689 0.236 0.819
Br1 Br 0.090 0.784 0.398
Br2 Br 0.120 0.254 0.290
Br3 Br 0.481 0.262 0.040
Br4 Br 0.518 0.738 0.959
Br5 Br 0.877 0.745 0.709
Br6 Br 0.912 0.216 0.603
```